[1]
Structure and calculated powder diffractogram of NaLiYb2F8 (a DFT-relaxed cell (PBE, Alexandria); a wavelength of 1.5418 Å).

Crystal structure
abc: 10.5217 8.3634 7.1091
angles: 90.00 90.00 90.00
Space group Cmcm (No. 63)
Asymmetric unit:
Na1 0.0000 0.1598 0.2500 x4
Li1 0.0000 0.5000 0.0000 x4
Yb1 0.1872 0.2374 0.7500 x8
F1 0.0000 0.1077 0.7500 x4
F2 0.0000 0.4132 0.7500 x4
F3 0.1371 0.2999 0.0504 x16
F4 0.2182 0.0269 0.2500 x8

Principal peaks in the range 10° ≤ 2θ ≤ 90°, in order of falling intensity:
- 30.36°, intensity 100, (3 1 1)
- 21.25°, intensity 74, (0 2 0)
- 25.05°, intensity 55, (0 0 2)
- 16.85°, intensity 47, (2 0 0)
- 18.42°, intensity 43, (1 1 1)
- 43.37°, intensity 42, (3 3 1)
- 47.57°, intensity 36, (3 1 3)
- 27.24°, intensity 31, (2 2 0)
- 46.29°, intensity 30, (5 1 1)
- 33.08°, intensity 24, (0 2 2)

[2]
Structure and calculated powder diffractogram of Na2LiZnF6 (a DFT-relaxed cell (PBE, Alexandria); a wavelength of 1.5418 Å).

Crystal structure
abc: 5.4287 5.5874 9.4105
angles: 90.00 124.80 90.00
Space group P2_1/c (No. 14)
Asymmetric unit:
Na1 0.2332 0.0558 0.2481 x4
Li1 0.0000 0.0000 0.5000 x2
Zn1 0.5000 0.0000 0.0000 x2
F1 0.1572 0.2001 0.9514 x4
F2 0.2526 0.7091 0.9471 x4
F3 0.3522 0.0335 0.7545 x4

Principal peaks in the range 10° ≤ 2θ ≤ 90°, in order of falling intensity:
- 19.61°, intensity 100, (0 1 1)
- 46.66°, intensity 62, (2 2 -2)
- 20.06°, intensity 54, (1 0 -2)
- 38.60°, intensity 46, (2 1 -1)
- 22.84°, intensity 46, (1 1 -1)
- 32.56°, intensity 42, (1 1 1)
- 38.02°, intensity 41, (1 2 0)
- 32.74°, intensity 41, (1 1 -3)
- 19.92°, intensity 40, (1 0 0)
- 38.81°, intensity 38, (1 0 -4)

[3]
Structure and calculated powder diffractogram of NaLi2ZnF6 (a DFT-relaxed cell (PBE, Alexandria); a wavelength of 1.5418 Å).

Crystal structure
abc: 9.4759 9.4979 5.5156
angles: 90.00 97.74 90.00
Space group C2/c (No. 15)
Asymmetric unit:
Na1 0.0000 0.0860 0.2500 x4
Li1 0.1799 0.4100 0.3048 x8
Zn1 0.0000 0.2748 0.7500 x4
F1 0.1029 0.2706 0.0741 x8
F2 0.1193 0.1123 0.6394 x8
F3 0.1336 0.4163 0.6359 x8

Principal peaks in the range 10° ≤ 2θ ≤ 90°, in order of falling intensity:
- 18.90°, intensity 100, (2 0 0)
- 42.35°, intensity 83, (3 3 -1)
- 19.98°, intensity 75, (1 1 -1)
- 21.98°, intensity 66, (1 1 1)
- 40.37°, intensity 49, (2 0 2)
- 33.45°, intensity 46, (1 3 -1)
- 26.70°, intensity 45, (2 2 0)
- 18.68°, intensity 44, (0 2 0)
- 58.10°, intensity 35, (1 3 -3)
- 32.77°, intensity 28, (0 0 2)

[4]
Structure and calculated powder diffractogram of Li2NbF8 (a DFT-relaxed cell (PBE, Alexandria); a wavelength of 1.5418 Å).

Crystal structure
abc: 5.6107 5.6107 9.7584
angles: 90.00 90.00 90.00
Space group I422 (No. 97)
Asymmetric unit:
Li1 0.0000 0.5000 0.2500 x4
Nb1 0.0000 0.0000 0.0000 x2
F1 0.1179 0.2774 0.8855 x16

Principal peaks in the range 10° ≤ 2θ ≤ 90°, in order of falling intensity:
- 18.23°, intensity 100, (1 0 1)
- 45.67°, intensity 20, (2 1 3)
- 29.01°, intensity 17, (1 1 2)
- 36.98°, intensity 16, (2 1 1)
- 49.51°, intensity 11, (2 0 4)
- 55.08°, intensity 10, (3 1 2)
- 60.07°, intensity 10, (2 1 5)
- 60.22°, intensity 6, (3 2 1)
- 22.41°, intensity 6, (1 1 0)
- 31.80°, intensity 6, (1 0 3)

[5]
Structure and calculated powder diffractogram of LiNb2F (a DFT-relaxed cell (PBE, Alexandria); a wavelength of 1.5418 Å).

Crystal structure
abc: 4.8959 4.8959 14.7767
angles: 90.00 90.00 90.00
Space group I4_1/amd (No. 141, origin choice 2)
Asymmetric unit:
Li1 0.0000 0.2500 0.3750 x4
Nb1 0.0000 0.0000 0.0000 x8
F1 0.0000 0.2500 0.8750 x4

Principal peaks in the range 10° ≤ 2θ ≤ 90°, in order of falling intensity:
- 19.10°, intensity 100, (1 0 1)
- 38.75°, intensity 51, (2 0 2)
- 24.09°, intensity 34, (0 0 4)
- 25.65°, intensity 31, (1 0 3)
- 52.72°, intensity 20, (2 0 6)
- 45.33°, intensity 20, (2 1 3)
- 58.92°, intensity 18, (2 2 4)
- 41.70°, intensity 17, (2 1 1)
- 35.48°, intensity 13, (1 0 5)
- 51.98°, intensity 13, (2 1 5)

[6]
Structure and calculated powder diffractogram of LiNbO2F (a DFT-relaxed cell (PBE, Alexandria); a wavelength of 1.5418 Å).

Crystal structure
abc: 9.3151 5.2440 5.6203
angles: 90.00 121.88 90.00
Space group Cc (No. 9)
Asymmetric unit:
Li1 0.0000 0.1984 0.0000 x4
Nb1 0.2842 0.2475 0.8438 x4
O1 0.2324 0.0533 0.0990 x4
O2 0.3649 0.4637 0.6386 x4
F1 0.0384 0.4228 0.6024 x4

Principal peaks in the range 10° ≤ 2θ ≤ 90°, in order of falling intensity:
- 23.24°, intensity 100, (1 1 -1)
- 22.48°, intensity 50, (2 0 0)
- 31.53°, intensity 42, (1 1 1)
- 33.55°, intensity 27, (3 1 -1)
- 31.97°, intensity 19, (2 0 -2)
- 51.80°, intensity 18, (0 2 2)
- 47.51°, intensity 18, (2 2 -2)
- 41.31°, intensity 16, (2 2 0)
- 59.57°, intensity 15, (6 0 -2)
- 50.66°, intensity 15, (3 1 1)

[7]
Structure and calculated powder diffractogram of LiNb3O7F (a DFT-relaxed cell (PBE, Alexandria); a wavelength of 1.5418 Å).

Crystal structure
abc: 3.9069 4.0507 10.8751
angles: 90.00 100.35 90.00
Space group Pm (No. 6)
Asymmetric unit:
Li1 0.0000 0.0000 0.0000 x1
Nb1 0.5365 0.5000 0.0729 x1
Nb2 0.6898 0.5000 0.4351 x1
Nb3 0.8982 0.5000 0.7968 x1
O1 0.0112 0.5000 0.0224 x1
O2 0.2061 0.5000 0.4345 x1
O3 0.4266 0.5000 0.8535 x1
O4 0.5312 0.0000 0.0618 x1
O5 0.6198 0.5000 0.2470 x1
O6 0.8090 0.5000 0.6240 x1
O7 0.9079 0.0000 0.8160 x1
F1 0.7044 0.0000 0.4355 x1

Principal peaks in the range 10° ≤ 2θ ≤ 90°, in order of falling intensity:
- 21.94°, intensity 100, (0 1 0)
- 23.14°, intensity 79, (1 0 -1)
- 24.97°, intensity 61, (0 0 3)
- 30.99°, intensity 39, (1 0 -3)
- 51.95°, intensity 32, (2 1 -1)
- 32.10°, intensity 32, (1 1 0)
- 33.48°, intensity 32, (0 1 3)
- 52.55°, intensity 26, (1 0 -6)
- 44.75°, intensity 26, (0 2 0)
- 46.49°, intensity 22, (2 0 -1)

[8]
Structure and calculated powder diffractogram of Li2Nb2O5F2 (a DFT-relaxed cell (PBE, Alexandria); a wavelength of 1.5418 Å).

Crystal structure
abc: 3.9571 3.9571 18.2302
angles: 90.00 90.00 90.00
Space group I4/mmm (No. 139)
Asymmetric unit:
Li1 0.0000 0.0000 0.1789 x4
Nb1 0.0000 0.0000 0.3941 x4
O1 0.0000 0.0000 0.5000 x2
O2 0.0000 0.5000 0.1188 x8
F1 0.0000 0.0000 0.2800 x4

Principal peaks in the range 10° ≤ 2θ ≤ 90°, in order of falling intensity:
- 23.00°, intensity 100, (1 0 1)
- 19.48°, intensity 48, (0 0 4)
- 33.42°, intensity 28, (1 0 5)
- 31.99°, intensity 26, (1 1 0)
- 45.86°, intensity 26, (2 0 0)
- 50.63°, intensity 22, (1 0 9)
- 51.91°, intensity 20, (2 1 1)
- 70.69°, intensity 15, (2 1 9)
- 50.27°, intensity 14, (2 0 4)
- 26.89°, intensity 12, (1 0 3)

[9]
Structure and calculated powder diffractogram of Li5Nb3OF18 (a DFT-relaxed cell (PBE, Alexandria); a wavelength of 1.5418 Å).

Crystal structure
abc: 12.8216 12.8216 9.2656
angles: 90.00 90.00 90.00
Space group I4cm (No. 108)
Asymmetric unit:
Li1 0.0000 0.5000 0.0000 x4
Li2 0.0715 0.2264 0.4923 x16
Nb1 0.0000 0.0000 0.2799 x4
Nb2 0.1758 0.3242 0.0277 x8
O1 0.0000 0.0000 0.0908 x4
F1 0.0158 0.3502 0.0103 x16
F2 0.0332 0.1458 0.3266 x16
F3 0.1080 0.1862 0.0458 x16
F4 0.1551 0.3449 0.2307 x8
F5 0.1722 0.3278 0.8211 x8
F6 0.2114 0.2886 0.5142 x8

Principal peaks in the range 10° ≤ 2θ ≤ 90°, in order of falling intensity:
- 18.19°, intensity 100, (2 1 1)
- 21.92°, intensity 52, (3 1 0)
- 23.69°, intensity 49, (2 0 2)
- 21.54°, intensity 40, (1 1 2)
- 41.05°, intensity 27, (5 3 0)
- 19.58°, intensity 24, (2 2 0)
- 42.29°, intensity 23, (6 0 0)
- 38.88°, intensity 21, (0 0 4)
- 19.16°, intensity 19, (0 0 2)
- 30.32°, intensity 17, (4 1 1)

[10]
Structure and calculated powder diffractogram of SrLiNb2O6F (a DFT-relaxed cell (PBE, Alexandria); a wavelength of 1.5418 Å).

Crystal structure
abc: 3.8758 3.8758 20.7747
angles: 90.00 90.00 90.00
Space group I-4m2 (No. 119)
Asymmetric unit:
Sr1 0.0000 0.0000 0.0000 x2
Li1 0.0000 0.5000 0.2500 x2
Nb1 0.0000 0.0000 0.3812 x4
O1 0.0000 0.0000 0.2945 x4
O2 0.0000 0.5000 0.0944 x4
O3 0.0000 0.5000 0.5926 x4
F1 0.0000 0.0000 0.5000 x2

Principal peaks in the range 10° ≤ 2θ ≤ 90°, in order of falling intensity:
- 26.35°, intensity 100, (1 0 3)
- 31.57°, intensity 51, (1 0 5)
- 32.67°, intensity 43, (1 1 0)
- 46.88°, intensity 35, (2 0 0)
- 48.28°, intensity 29, (1 1 8)
- 54.58°, intensity 25, (2 1 3)
- 23.35°, intensity 21, (1 0 1)
- 34.54°, intensity 20, (0 0 8)
- 57.62°, intensity 20, (2 1 5)
- 17.07°, intensity 20, (0 0 4)

[11]
Structure and calculated powder diffractogram of SrLiNb2O6F (a DFT-relaxed cell (PBE, Alexandria); a wavelength of 1.5418 Å).

Crystal structure
abc: 10.6664 5.6084 5.5974
angles: 90.00 104.59 90.00
Space group Pc (No. 7)
Asymmetric unit:
Sr1 0.0000 0.2376 0.0000 x2
Li1 0.5117 0.4897 0.0249 x2
Nb1 0.2340 0.2757 0.6013 x2
Nb2 0.7901 0.2566 0.4127 x2
O1 0.0442 0.1960 0.5610 x2
O2 0.1951 0.4392 0.2953 x2
O3 0.4081 0.3312 0.7215 x2
O4 0.6201 0.3206 0.3319 x2
O5 0.8160 0.9997 0.1770 x2
O6 0.8486 0.4957 0.1883 x2
F1 0.2496 0.0593 0.9489 x2

Principal peaks in the range 10° ≤ 2θ ≤ 90°, in order of falling intensity:
- 26.04°, intensity 100, (2 1 -1)
- 31.95°, intensity 85, (1 0 -2)
- 25.86°, intensity 74, (1 1 1)
- 31.17°, intensity 72, (2 1 1)
- 45.81°, intensity 68, (1 2 -2)
- 31.41°, intensity 65, (3 1 -1)
- 17.18°, intensity 46, (2 0 0)
- 22.85°, intensity 43, (0 1 1)
- 56.37°, intensity 37, (2 3 1)
- 34.76°, intensity 28, (4 0 0)